For K3Tc2Cl8O3, a crystal structure in the Materials Project, relaxed with GGA-PBE gives the calculated XRD peak list in this record (a wavelength of 1.5418 Å).

Cell and atoms:
a = 13.138 Å, b = 13.138 Å, c = 8.343 Å
α = 90.00°, β = 90.00°, γ = 120.00°
Atoms (fractional coordinates):
K1 0.000 0.718 0.167
K2 0.181 0.510 0.754
K3 0.282 0.282 0.500
K4 0.329 0.819 0.420
K5 0.490 0.671 0.087
K6 0.510 0.181 0.246
K7 0.671 0.490 0.913
K8 0.718 0.000 0.833
K9 0.819 0.329 0.580
Tc1 0.083 0.444 0.230
Tc2 0.361 0.917 0.897
Tc3 0.444 0.083 0.770
Tc4 0.556 0.639 0.563
Tc5 0.639 0.556 0.437
Tc6 0.917 0.361 0.103
Cl1 0.053 0.313 0.438
Cl2 0.062 0.562 0.433
Cl3 0.184 0.804 0.762
Cl4 0.196 0.380 0.095
Cl5 0.204 0.630 0.101
Cl6 0.260 0.947 0.105
Cl7 0.313 0.053 0.562
Cl8 0.370 0.574 0.435
Cl9 0.380 0.196 0.905
Cl10 0.426 0.796 0.768
Cl11 0.438 0.500 0.766
Cl12 0.500 0.438 0.234
Cl13 0.500 0.938 0.100
Cl14 0.562 0.062 0.567
Cl15 0.574 0.370 0.565
Cl16 0.620 0.816 0.429
Cl17 0.630 0.204 0.899
Cl18 0.687 0.740 0.771
Cl19 0.740 0.687 0.229
Cl20 0.796 0.426 0.232
Cl21 0.804 0.184 0.238
Cl22 0.816 0.620 0.571
Cl23 0.938 0.500 0.900
Cl24 0.947 0.260 0.895
O1 0.000 0.051 0.667
O2 0.051 0.000 0.333
O3 0.058 0.907 0.378
O4 0.093 0.150 0.712
O5 0.150 0.093 0.288
O6 0.850 0.942 0.045
O7 0.907 0.058 0.622
O8 0.942 0.850 0.955
O9 0.949 0.949 0.000

Largest 6 diffraction maxima, low angle first, 10° ≤ 2θ ≤ 80°:
d (Å)  2θ (°)  I (rel.)  hkl
6.728  13.16  1000  1 0 1
6.569  13.48  681  1 1 0
4.700  18.88  422  0 2 1
2.952  30.28  436  3 1 1
2.806  31.89  808  3 0 2
2.692  33.28  459  0 4 1